Diffraction record for WN2. The XRD peak list is simulated, not measured: it uses a crystal structure in the Materials Project, relaxed with GGA-PBE and Cu Kα.
Peak positions follow from Bragg's law for the DFT cell and can differ from measured ones.

The 10 most intense peaks (2θ = 10–90°), in order of falling intensity:
2θ (°), I (rel.), (hkl)
29.7, 100, 1 2 1
24.5, 49, 0 2 1
35.6, 32, 1 0 2
24.7, 27, 1 1 1
53.2, 27, 1 4 2
34.8, 21, 2 1 0
51.8, 21, 0 2 3
38.2, 18, 0 4 0
54.7, 13, 3 1 1
44.4, 12, 2 3 0

Crystal structure
Lattice parameters (Å, degrees): 5.3649 9.4344 5.7054 90.00 90.00 90.00
Space group Pbca (No. 61)
Inequivalent atoms, fractional coordinates:
W 0.1667 0.1266 0.0921 x8
N 0.0363 0.7295 0.0826 x8
N 0.2057 0.5071 0.3559 x8